# 1
# Er8Ni
Calculated powder diffraction line list, a wavelength of 1.5418 Å. Input: a GGA-PBE-relaxed structure.

Top 12 peaks for 10 to 90 degrees two-theta, by intensity:
d_spacing, I (rel.)
2.803, 100
2.939, 77
2.637, 55
2.592, 46
2.274, 35
1.598, 30
1.531, 22
1.534, 22
1.475, 16
1.794, 15
1.849, 15
1.126, 14

Crystal structure
```
data_Er8Ni
_chemical_formula_sum 'Er8 Ni1'
_symmetry_space_group_name_H-M 'P 1'
_symmetry_Int_Tables_number 1
_cell_length_a 8.9802
_cell_length_b 8.9802
_cell_length_c 3.5880
_cell_angle_alpha 90.00
_cell_angle_beta 90.00
_cell_angle_gamma 120.00
loop_
_symmetry_equiv_pos_as_xyz
'x,y,z'
loop_
_atom_site_label
_atom_site_type_symbol
_atom_site_fract_x
_atom_site_fract_y
_atom_site_fract_z
_atom_site_occupancy
Er1 Er 0.0000 0.2380 0.0000 1
Er2 Er 0.0000 0.6106 0.5000 1
Er3 Er 0.2380 0.0000 0.0000 1
Er4 Er 0.3333 0.6667 0.0000 1
Er5 Er 0.3894 0.3894 0.5000 1
Er6 Er 0.6106 0.0000 0.5000 1
Er7 Er 0.6667 0.3333 0.0000 1
Er8 Er 0.7620 0.7620 0.0000 1
Ni1 Ni 0.0000 0.0000 0.5000 1
```

---

# 2
# Er2Ni7
Calculated powder diffraction line list, a wavelength of 1.5418 Å. Input: a GGA-PBE-relaxed structure.

Top 12 peaks for 10 to 90 degrees two-theta, by intensity:
d_spacing, I (rel.)
2.090, 100
2.669, 67
2.451, 54
2.114, 31
1.334, 25
1.942, 23
1.225, 21
1.453, 21
1.394, 15
2.002, 15
2.122, 13
1.406, 11

Crystal structure
```
data_Er2Ni7
_chemical_formula_sum 'Er8 Ni28'
_symmetry_space_group_name_H-M 'P 1'
_symmetry_Int_Tables_number 1
_cell_length_a 4.9011
_cell_length_b 4.9011
_cell_length_c 24.0253
_cell_angle_alpha 90.00
_cell_angle_beta 90.00
_cell_angle_gamma 120.00
loop_
_symmetry_equiv_pos_as_xyz
'x,y,z'
loop_
_atom_site_label
_atom_site_type_symbol
_atom_site_fract_x
_atom_site_fract_y
_atom_site_fract_z
_atom_site_occupancy
Er1 Er 0.3333 0.6667 0.0289 1
Er2 Er 0.3333 0.6667 0.1738 1
Er3 Er 0.3333 0.6667 0.3262 1
Er4 Er 0.3333 0.6667 0.4711 1
Er5 Er 0.6667 0.3333 0.5289 1
Er6 Er 0.6667 0.3333 0.6738 1
Er7 Er 0.6667 0.3333 0.8262 1
Er8 Er 0.6667 0.3333 0.9711 1
Ni1 Ni 0.0000 0.0000 0.0000 1
Ni2 Ni 0.0000 0.0000 0.1672 1
Ni3 Ni 0.0000 0.0000 0.3328 1
Ni4 Ni 0.0000 0.0000 0.5000 1
Ni5 Ni 0.0000 0.0000 0.6672 1
Ni6 Ni 0.0000 0.0000 0.8328 1
Ni7 Ni 0.1668 0.3336 0.7500 1
Ni8 Ni 0.1674 0.3347 0.5848 1
Ni9 Ni 0.1674 0.3347 0.9152 1
Ni10 Ni 0.1674 0.8326 0.5848 1
Ni11 Ni 0.1668 0.8332 0.7500 1
Ni12 Ni 0.1674 0.8326 0.9152 1
Ni13 Ni 0.3333 0.6667 0.6670 1
Ni14 Ni 0.3333 0.6667 0.8330 1
Ni15 Ni 0.3336 0.1668 0.2500 1
Ni16 Ni 0.3347 0.1674 0.0848 1
Ni17 Ni 0.3347 0.1674 0.4152 1
Ni18 Ni 0.6653 0.8326 0.5848 1
Ni19 Ni 0.6653 0.8326 0.9152 1
Ni20 Ni 0.6664 0.8332 0.7500 1
Ni21 Ni 0.6667 0.3333 0.1670 1
Ni22 Ni 0.6667 0.3333 0.3330 1
Ni23 Ni 0.8326 0.1674 0.0848 1
Ni24 Ni 0.8332 0.1668 0.2500 1
Ni25 Ni 0.8326 0.1674 0.4152 1
Ni26 Ni 0.8326 0.6653 0.0848 1
Ni27 Ni 0.8326 0.6653 0.4152 1
Ni28 Ni 0.8332 0.6664 0.2500 1
```

---

# 3
# ErSi2NiOs
Calculated powder diffraction line list, a wavelength of 1.5418 Å. Input: a GGA-PBE-relaxed structure.

Top 12 peaks for 10 to 90 degrees two-theta, by intensity:
d_spacing, I (rel.)
2.441, 100
3.680, 49
2.547, 36
1.979, 34
1.214, 22
2.495, 20
1.551, 18
1.430, 18
1.563, 16
1.783, 13
1.743, 13
1.400, 11

Crystal structure
```
data_ErSi2NiOs
_chemical_formula_sum 'Er2 Si4 Ni2 Os2'
_symmetry_space_group_name_H-M 'P 1'
_symmetry_Int_Tables_number 1
_cell_length_a 3.9586
_cell_length_b 3.9586
_cell_length_c 9.9819
_cell_angle_alpha 90.00
_cell_angle_beta 90.00
_cell_angle_gamma 90.00
loop_
_symmetry_equiv_pos_as_xyz
'x,y,z'
loop_
_atom_site_label
_atom_site_type_symbol
_atom_site_fract_x
_atom_site_fract_y
_atom_site_fract_z
_atom_site_occupancy
Er1 Er 0.0000 0.0000 0.0000 1
Er2 Er 0.5000 0.5000 0.5000 1
Si1 Si 0.0000 0.0000 0.3789 1
Si2 Si 0.0000 0.0000 0.6211 1
Si3 Si 0.5000 0.5000 0.1211 1
Si4 Si 0.5000 0.5000 0.8789 1
Ni1 Ni 0.0000 0.5000 0.7500 1
Ni2 Ni 0.5000 0.0000 0.2500 1
Os1 Os 0.0000 0.5000 0.2500 1
Os2 Os 0.5000 0.0000 0.7500 1
```

---

# 4
# ErTmNi2Pb
Calculated powder diffraction line list, a wavelength of 1.5418 Å. Input: a GGA-PBE-relaxed structure.

Top 12 peaks for 10 to 90 degrees two-theta, by intensity:
d_spacing, I (rel.)
2.634, 100
2.533, 66
3.038, 55
1.564, 31
2.304, 30
1.987, 24
1.613, 21
1.816, 18
2.356, 17
1.559, 16
1.426, 13
1.340, 13

Crystal structure
```
data_ErTmNi2Pb
_chemical_formula_sum 'Er2 Tm2 Ni4 Pb2'
_symmetry_space_group_name_H-M 'P 1'
_symmetry_Int_Tables_number 1
_cell_length_a 3.6314
_cell_length_b 3.9746
_cell_length_c 14.1382
_cell_angle_alpha 90.00
_cell_angle_beta 90.00
_cell_angle_gamma 90.00
loop_
_symmetry_equiv_pos_as_xyz
'x,y,z'
loop_
_atom_site_label
_atom_site_type_symbol
_atom_site_fract_x
_atom_site_fract_y
_atom_site_fract_z
_atom_site_occupancy
Er1 Er 0.0000 0.0000 0.0000 1
Er2 Er 0.0000 0.5000 0.5000 1
Tm1 Tm 0.0000 0.0000 0.2821 1
Tm2 Tm 0.0000 0.5000 0.7821 1
Ni1 Ni 0.5000 0.0000 0.4405 1
Ni2 Ni 0.5000 0.0000 0.8415 1
Ni3 Ni 0.5000 0.5000 0.3415 1
Ni4 Ni 0.5000 0.5000 0.9405 1
Pb1 Pb 0.5000 0.0000 0.6410 1
Pb2 Pb 0.5000 0.5000 0.1410 1
```

---

# 5
# Er2NiPt
Calculated powder diffraction line list, a wavelength of 1.5418 Å. Input: a GGA-PBE-relaxed structure.

Top 12 peaks for 10 to 90 degrees two-theta, by intensity:
d_spacing, I (rel.)
2.437, 100
2.191, 96
2.726, 95
2.538, 71
2.169, 55
3.054, 52
1.649, 39
2.147, 35
1.668, 24
1.526, 24
1.322, 22
1.196, 18

Crystal structure
```
data_Er2NiPt
_chemical_formula_sum 'Er4 Ni2 Pt2'
_symmetry_space_group_name_H-M 'P 1'
_symmetry_Int_Tables_number 1
_cell_length_a 4.3388
_cell_length_b 5.4452
_cell_length_c 7.0069
_cell_angle_alpha 90.00
_cell_angle_beta 90.00
_cell_angle_gamma 90.00
loop_
_symmetry_equiv_pos_as_xyz
'x,y,z'
loop_
_atom_site_label
_atom_site_type_symbol
_atom_site_fract_x
_atom_site_fract_y
_atom_site_fract_z
_atom_site_occupancy
Er1 Er 0.0000 0.1128 0.0000 1
Er2 Er 0.0000 0.8872 0.5000 1
Er3 Er 0.5000 0.3828 0.6389 1
Er4 Er 0.5000 0.6172 0.1389 1
Ni1 Ni 0.5000 0.1070 0.2775 1
Ni2 Ni 0.5000 0.8930 0.7775 1
Pt1 Pt 0.0000 0.3885 0.3576 1
Pt2 Pt 0.0000 0.6115 0.8576 1
```

---

# 6
# YEr6Ni2S2
Calculated powder diffraction line list, a wavelength of 1.5418 Å. Input: a GGA-PBE-relaxed structure.

Top 12 peaks for 10 to 90 degrees two-theta, by intensity:
d_spacing, I (rel.)
2.525, 100
2.836, 61
2.492, 56
2.581, 55
2.809, 39
2.970, 37
1.871, 28
3.461, 28
1.515, 27
2.979, 25
7.384, 24
2.244, 21

Crystal structure
```
data_YEr6Ni2S2
_chemical_formula_sum 'Y1 Er6 Ni2 S2'
_symmetry_space_group_name_H-M 'P 1'
_symmetry_Int_Tables_number 1
_cell_length_a 8.8713
_cell_length_b 8.8713
_cell_length_c 8.8713
_cell_angle_alpha 155.64
_cell_angle_beta 67.32
_cell_angle_gamma 118.33
loop_
_symmetry_equiv_pos_as_xyz
'x,y,z'
loop_
_atom_site_label
_atom_site_type_symbol
_atom_site_fract_x
_atom_site_fract_y
_atom_site_fract_z
_atom_site_occupancy
Y1 Y 0.0000 0.0000 0.0000 1
Er1 Er 0.2818 0.4013 0.8805 1
Er2 Er 0.2945 0.6083 0.6862 1
Er3 Er 0.5208 0.4013 0.1195 1
Er4 Er 0.6114 0.2456 0.3657 1
Er5 Er 0.8799 0.2456 0.6343 1
Er6 Er 0.9221 0.6083 0.3138 1
Ni1 Ni 0.1517 0.9108 0.2408 1
Ni2 Ni 0.6700 0.9108 0.7592 1
S1 S 0.2477 0.7477 0.5000 1
S2 S 0.6530 0.6530 0.0000 1
```

---

# 7
# ErScNi2Sn2
Calculated powder diffraction line list, a wavelength of 1.5418 Å. Input: a GGA-PBE-relaxed structure.

Top 12 peaks for 10 to 90 degrees two-theta, by intensity:
d_spacing, I (rel.)
2.551, 100
2.218, 78
3.348, 47
1.674, 28
1.336, 26
1.352, 21
1.281, 13
1.588, 12
1.849, 9
1.109, 9
1.957, 9
1.420, 8

Crystal structure
```
data_ErScNi2Sn2
_chemical_formula_sum 'Er1 Sc1 Ni2 Sn2'
_symmetry_space_group_name_H-M 'P 1'
_symmetry_Int_Tables_number 1
_cell_length_a 4.4363
_cell_length_b 4.4363
_cell_length_c 6.8236
_cell_angle_alpha 90.00
_cell_angle_beta 90.00
_cell_angle_gamma 120.00
loop_
_symmetry_equiv_pos_as_xyz
'x,y,z'
loop_
_atom_site_label
_atom_site_type_symbol
_atom_site_fract_x
_atom_site_fract_y
_atom_site_fract_z
_atom_site_occupancy
Er1 Er 0.0000 0.0000 0.0000 1
Sc1 Sc 0.0000 0.0000 0.5032 1
Ni1 Ni 0.3333 0.6667 0.7588 1
Ni2 Ni 0.6667 0.3333 0.3225 1
Sn1 Sn 0.3333 0.6667 0.2644 1
Sn2 Sn 0.6667 0.3333 0.7233 1
```

---

# 8
# ErScZnNi2
Calculated powder diffraction line list, a wavelength of 1.5418 Å. Input: a GGA-PBE-relaxed structure.

Top 12 peaks for 10 to 90 degrees two-theta, by intensity:
d_spacing, I (rel.)
2.497, 100
2.138, 68
4.350, 36
1.270, 36
2.085, 33
2.316, 28
2.175, 26
2.194, 25
3.671, 24
3.268, 20
1.550, 16
1.505, 15

Crystal structure
```
data_ErScZnNi2
_chemical_formula_sum 'Er2 Sc2 Zn2 Ni4'
_symmetry_space_group_name_H-M 'P 1'
_symmetry_Int_Tables_number 1
_cell_length_a 4.1699
_cell_length_b 5.2603
_cell_length_c 7.7384
_cell_angle_alpha 90.00
_cell_angle_beta 90.00
_cell_angle_gamma 90.00
loop_
_symmetry_equiv_pos_as_xyz
'x,y,z'
loop_
_atom_site_label
_atom_site_type_symbol
_atom_site_fract_x
_atom_site_fract_y
_atom_site_fract_z
_atom_site_occupancy
Er1 Er 0.0000 0.0000 0.0000 1
Er2 Er 0.5000 0.5000 0.5000 1
Sc1 Sc 0.0000 0.0000 0.4079 1
Sc2 Sc 0.5000 0.5000 0.9079 1
Zn1 Zn 0.0000 0.5000 0.2026 1
Zn2 Zn 0.5000 0.0000 0.7026 1
Ni1 Ni 0.0000 0.2712 0.7024 1
Ni2 Ni 0.0000 0.7288 0.7024 1
Ni3 Ni 0.5000 0.2288 0.2024 1
Ni4 Ni 0.5000 0.7712 0.2024 1
```

---

# 9
# ErTm6Ni2Se2
Calculated powder diffraction line list, a wavelength of 1.5418 Å. Input: a GGA-PBE-relaxed structure.

Top 12 peaks for 10 to 90 degrees two-theta, by intensity:
d_spacing, I (rel.)
2.542, 100
2.608, 66
2.853, 59
2.998, 49
2.509, 49
2.838, 31
1.876, 28
1.523, 26
1.718, 24
2.373, 21
2.261, 18
3.474, 15

Crystal structure
```
data_ErTm6Ni2Se2
_chemical_formula_sum 'Er1 Tm6 Ni2 Se2'
_symmetry_space_group_name_H-M 'P 1'
_symmetry_Int_Tables_number 1
_cell_length_a 8.9604
_cell_length_b 8.9604
_cell_length_c 8.9604
_cell_angle_alpha 155.83
_cell_angle_beta 67.27
_cell_angle_gamma 118.30
loop_
_symmetry_equiv_pos_as_xyz
'x,y,z'
loop_
_atom_site_label
_atom_site_type_symbol
_atom_site_fract_x
_atom_site_fract_y
_atom_site_fract_z
_atom_site_occupancy
Er1 Er 0.0000 0.0000 0.0000 1
Tm1 Tm 0.0676 0.3830 0.6846 1
Tm2 Tm 0.1001 0.7403 0.3598 1
Tm3 Tm 0.3806 0.7403 0.6402 1
Tm4 Tm 0.4617 0.5876 0.8741 1
Tm5 Tm 0.6984 0.3830 0.3154 1
Tm6 Tm 0.7135 0.5876 0.1259 1
Ni1 Ni 0.3161 0.0776 0.2385 1
Ni2 Ni 0.8390 0.0776 0.7615 1
Se1 Se 0.3412 0.3412 0.0000 1
Se2 Se 0.7420 0.2420 0.5000 1
```

---

# 10
# Er3Tm4Ni2Se2
Calculated powder diffraction line list, a wavelength of 1.5418 Å. Input: a GGA-PBE-relaxed structure.

Top 12 peaks for 10 to 90 degrees two-theta, by intensity:
d_spacing, I (rel.)
2.546, 100
2.616, 63
2.860, 58
2.515, 47
2.842, 31
1.879, 28
2.999, 25
1.526, 24
3.012, 24
1.721, 24
2.380, 20
2.268, 19

Crystal structure
```
data_Er3Tm4Ni2Se2
_chemical_formula_sum 'Er3 Tm4 Ni2 Se2'
_symmetry_space_group_name_H-M 'P 1'
_symmetry_Int_Tables_number 1
_cell_length_a 8.9763
_cell_length_b 8.9763
_cell_length_c 8.9763
_cell_angle_alpha 155.83
_cell_angle_beta 67.41
_cell_angle_gamma 118.15
loop_
_symmetry_equiv_pos_as_xyz
'x,y,z'
loop_
_atom_site_label
_atom_site_type_symbol
_atom_site_fract_x
_atom_site_fract_y
_atom_site_fract_z
_atom_site_occupancy
Er1 Er 0.0000 0.0000 0.0000 1
Er2 Er 0.0714 0.3856 0.6858 1
Er3 Er 0.6998 0.3856 0.3142 1
Tm1 Tm 0.1033 0.7424 0.3609 1
Tm2 Tm 0.3816 0.7424 0.6391 1
Tm3 Tm 0.4659 0.5910 0.8749 1
Tm4 Tm 0.7161 0.5910 0.1251 1
Ni1 Ni 0.3220 0.0824 0.2396 1
Ni2 Ni 0.8429 0.0824 0.7604 1
Se1 Se 0.3435 0.3435 0.0000 1
Se2 Se 0.7440 0.2440 0.5000 1
```

---

# 11
# YEr4Tm2Ni2Se2
Calculated powder diffraction line list, a wavelength of 1.5418 Å. Input: a GGA-PBE-relaxed structure.

Top 12 peaks for 10 to 90 degrees two-theta, by intensity:
d_spacing, I (rel.)
2.550, 100
2.620, 71
2.520, 61
2.868, 53
1.885, 29
1.530, 28
2.841, 27
3.492, 25
3.019, 24
3.005, 23
1.722, 21
2.273, 21

Crystal structure
```
data_YEr4Tm2Ni2Se2
_chemical_formula_sum 'Y1 Er4 Tm2 Ni2 Se2'
_symmetry_space_group_name_H-M 'P 1'
_symmetry_Int_Tables_number 1
_cell_length_a 8.9797
_cell_length_b 8.9797
_cell_length_c 8.9797
_cell_angle_alpha 155.76
_cell_angle_beta 67.57
_cell_angle_gamma 118.02
loop_
_symmetry_equiv_pos_as_xyz
'x,y,z'
loop_
_atom_site_label
_atom_site_type_symbol
_atom_site_fract_x
_atom_site_fract_y
_atom_site_fract_z
_atom_site_occupancy
Y1 Y 0.0000 0.0000 0.0000 1
Er1 Er 0.2888 0.4143 0.8745 1
Er2 Er 0.5398 0.4143 0.1255 1
Er3 Er 0.6184 0.2603 0.3581 1
Er4 Er 0.9021 0.2603 0.6419 1
Tm1 Tm 0.3020 0.6189 0.6830 1
Tm2 Tm 0.9359 0.6189 0.3170 1
Ni1 Ni 0.1632 0.9247 0.2385 1
Ni2 Ni 0.6862 0.9247 0.7615 1
Se1 Se 0.2594 0.7594 0.5000 1
Se2 Se 0.6614 0.6614 0.0000 1
```

---

# 12
# ErSiNi2
Calculated powder diffraction line list, a wavelength of 1.5418 Å. Input: a GGA-PBE-relaxed structure.

Top 12 peaks for 10 to 90 degrees two-theta, by intensity:
d_spacing, I (rel.)
2.271, 100
2.694, 75
4.224, 47
1.955, 45
2.649, 43
2.112, 43
2.784, 41
1.662, 35
4.411, 23
1.578, 19
1.879, 18
2.017, 16

Crystal structure
```
data_ErSiNi2
_chemical_formula_sum 'Er2 Si2 Ni4'
_symmetry_space_group_name_H-M 'P 1'
_symmetry_Int_Tables_number 1
_cell_length_a 4.2239
_cell_length_b 4.4108
_cell_length_c 6.8035
_cell_angle_alpha 90.00
_cell_angle_beta 90.00
_cell_angle_gamma 90.00
loop_
_symmetry_equiv_pos_as_xyz
'x,y,z'
loop_
_atom_site_label
_atom_site_type_symbol
_atom_site_fract_x
_atom_site_fract_y
_atom_site_fract_z
_atom_site_occupancy
Er1 Er 0.0000 0.0629 0.0000 1
Er2 Er 0.0000 0.9371 0.5000 1
Si1 Si 0.5000 0.2974 0.6752 1
Si2 Si 0.5000 0.7026 0.1752 1
Ni1 Ni 0.0000 0.4920 0.7455 1
Ni2 Ni 0.0000 0.5080 0.2455 1
Ni3 Ni 0.5000 0.2181 0.3114 1
Ni4 Ni 0.5000 0.7819 0.8114 1
```